Entry 1:
Starting from a PBE-relaxed structure, the powder diffraction line list of CrRuPb was computed for Cu Kα, 1.54184 Å.

Largest 8 diffraction maxima, most intense first, 2θ = 5–70°:
| 2θ/deg | I/Imax |
| --- | --- |
| 37.71 | 100 |
| 42.13 | 40 |
| 30.46 | 34 |
| 30.88 | 17 |
| 15.30 | 16 |
| 64.99 | 16 |
| 53.14 | 15 |
| 64.10 | 14 |

Structure:
abc: 6.1761 6.1761 6.1761
angles: 151.57 151.57 40.64
Sites, in units of the cell vectors:
Cr 0.0000 0.0000 0.0000
Ru 0.3820 0.3820 0.0000
Pb 0.6954 0.6954 0.0000

Entry 2:
Starting from a PBE-relaxed structure, the powder diffraction line list of CrPb2S4 was computed for Cu Kα, 1.54184 Å.

Largest 8 diffraction maxima, most intense first, 2θ = 5–70°:
| 2θ/deg | I/Imax |
| --- | --- |
| 26.38 | 100 |
| 27.84 | 69 |
| 36.67 | 48 |
| 39.78 | 44 |
| 48.37 | 41 |
| 20.45 | 30 |
| 54.31 | 26 |
| 45.63 | 23 |

Structure:
abc: 8.2531 8.2531 8.2531
angles: 148.13 148.13 45.69
Sites, in units of the cell vectors:
Cr 0.0000 0.0000 0.0000
Pb 0.3518 0.3518 0.0000
Pb 0.6482 0.6482 0.0000
S 0.0000 0.5000 0.5000
S 0.1632 0.1632 0.0000
S 0.5000 0.0000 0.5000
S 0.8368 0.8368 0.0000

Entry 3:
Starting from a PBE-relaxed structure, the powder diffraction line list of CrPb2S was computed for Cu Kα, 1.54184 Å.

Largest 8 diffraction maxima, most intense first, 2θ = 5–70°:
| 2θ/deg | I/Imax |
| --- | --- |
| 32.45 | 100 |
| 45.72 | 77 |
| 31.31 | 77 |
| 22.00 | 73 |
| 44.87 | 28 |
| 65.99 | 26 |
| 63.36 | 21 |
| 56.46 | 21 |

Structure:
abc: 6.5245 6.5245 6.5245
angles: 103.49 103.49 122.24
Sites, in units of the cell vectors:
Cr 0.0000 0.0000 0.0000
Cr 0.7500 0.2500 0.5000
Pb 0.1352 0.1250 0.5102
Pb 0.3750 0.8648 0.9898
Pb 0.6148 0.6250 0.4898
Pb 0.8750 0.3852 0.0102
S 0.2500 0.7500 0.5000
S 0.5000 0.5000 0.0000

Entry 4:
Starting from a PBE-relaxed structure, the powder diffraction line list of Cr5PbS8 was computed for Cu Kα, 1.54184 Å.

Largest 8 diffraction maxima, most intense first, 2θ = 5–70°:
| 2θ/deg | I/Imax |
| --- | --- |
| 33.22 | 100 |
| 20.43 | 58 |
| 41.55 | 53 |
| 30.60 | 52 |
| 21.31 | 51 |
| 34.75 | 45 |
| 47.50 | 43 |
| 28.88 | 39 |

Structure:
abc: 9.2060 9.2060 8.6088
angles: 104.11 104.11 21.66
Sites, in units of the cell vectors:
Cr 0.0000 0.0000 0.0000
Cr 0.0432 0.0432 0.3617
Cr 0.3594 0.3594 0.3065
Cr 0.4075 0.4075 0.6669
Cr 0.7012 0.7012 0.3329
Pb 0.2258 0.2258 0.8056
S 0.1254 0.1254 0.1837
S 0.2754 0.2754 0.4941
S 0.4653 0.4653 0.1830
S 0.5309 0.5309 0.8435
S 0.6168 0.6168 0.5094
S 0.7861 0.7861 0.1593
S 0.8750 0.8750 0.8274
S 0.9386 0.9386 0.4904

Entry 5:
Starting from a PBE-relaxed structure, the powder diffraction line list of UCr4PbS8 was computed for Cu Kα, 1.54184 Å.

Largest 8 diffraction maxima, most intense first, 2θ = 5–70°:
| 2θ/deg | I/Imax |
| --- | --- |
| 29.54 | 100 |
| 26.18 | 52 |
| 38.02 | 41 |
| 27.13 | 35 |
| 48.34 | 29 |
| 53.88 | 26 |
| 15.69 | 26 |
| 35.46 | 21 |

Structure:
abc: 7.6720 7.6720 7.6720
angles: 52.67 52.67 52.67
Sites, in units of the cell vectors:
U 0.0000 0.0000 0.0000
Cr 0.5431 0.9646 0.9646
Cr 0.6251 0.6251 0.6251
Cr 0.9646 0.5431 0.9646
Cr 0.9646 0.9646 0.5431
Pb 0.3407 0.3407 0.3407
S 0.2021 0.2021 0.2021
S 0.2218 0.7411 0.7411
S 0.2578 0.2578 0.7760
S 0.2578 0.7760 0.2578
S 0.7411 0.2218 0.7411
S 0.7411 0.7411 0.2218
S 0.7442 0.7442 0.7442
S 0.7760 0.2578 0.2578

Entry 6:
Starting from a PBE-relaxed structure, the powder diffraction line list of Cr5PbSe8 was computed for Cu Kα, 1.54184 Å.

Largest 8 diffraction maxima, most intense first, 2θ = 5–70°:
| 2θ/deg | I/Imax |
| --- | --- |
| 31.39 | 100 |
| 32.77 | 57 |
| 49.55 | 35 |
| 33.16 | 34 |
| 19.13 | 30 |
| 31.07 | 26 |
| 45.35 | 26 |
| 49.23 | 26 |

Structure:
abc: 9.8127 9.8127 8.9494
angles: 104.96 104.96 21.61
Sites, in units of the cell vectors:
Cr 0.0000 0.0000 0.0000
Cr 0.0481 0.0481 0.3575
Cr 0.3415 0.3415 0.0286
Cr 0.6401 0.6401 0.7010
Cr 0.6879 0.6879 0.0631
Pb 0.8818 0.8818 0.5062
Se 0.1080 0.1080 0.8834
Se 0.1699 0.1699 0.5400
Se 0.2627 0.2627 0.2181
Se 0.4243 0.4243 0.8458
Se 0.5136 0.5136 0.5244
Se 0.5805 0.5805 0.1854
Se 0.7668 0.7668 0.8771
Se 0.9163 0.9163 0.1866

Entry 7:
Starting from a PBE-relaxed structure, the powder diffraction line list of SrCr2Pb was computed for Cu Kα, 1.54184 Å.

Largest 8 diffraction maxima, most intense first, 2θ = 5–70°:
| 2θ/deg | I/Imax |
| --- | --- |
| 38.74 | 100 |
| 22.69 | 86 |
| 30.50 | 86 |
| 34.41 | 81 |
| 15.55 | 66 |
| 41.98 | 34 |
| 50.68 | 33 |
| 52.77 | 24 |

Structure:
abc: 6.2988 6.2988 6.2988
angles: 43.31 43.31 43.31
Sites, in units of the cell vectors:
Sr 0.0000 0.0000 0.0000
Cr 0.1996 0.1996 0.1996
Cr 0.5226 0.5226 0.5226
Pb 0.8015 0.8015 0.8015

Entry 8:
Starting from a PBE-relaxed structure, the powder diffraction line list of Sr2CrPb was computed for Cu Kα, 1.54184 Å.

Largest 8 diffraction maxima, most intense first, 2θ = 5–70°:
| 2θ/deg | I/Imax |
| --- | --- |
| 32.04 | 100 |
| 57.10 | 38 |
| 45.94 | 18 |
| 19.46 | 16 |
| 22.50 | 14 |
| 66.99 | 12 |
| 37.76 | 10 |
| 51.74 | 7 |

Structure:
abc: 5.5875 5.5875 5.5875
angles: 60.00 60.00 60.00
Sites, in units of the cell vectors:
Sr 0.0000 0.0000 0.0000
Sr 0.2500 0.2500 0.2500
Cr 0.5000 0.5000 0.5000
Pb 0.7500 0.7500 0.7500